1.
LiAlSiO4: simulated PXRD pattern (CuKα), based on a PBE-relaxed structure.

Crystal structure
Lattice parameters (Å, degrees): 8.446 8.446 8.446 107.85 107.85 107.85
Sites, in units of the cell vectors:
Li 0.016 0.794 0.190
Li 0.190 0.016 0.794
Li 0.307 0.477 0.707
Li 0.477 0.707 0.307
Li 0.707 0.307 0.477
Li 0.794 0.190 0.016
Al 0.039 0.634 0.822
Al 0.117 0.528 0.350
Al 0.350 0.117 0.528
Al 0.528 0.350 0.117
Al 0.634 0.822 0.039
Al 0.822 0.039 0.634
Si 0.149 0.378 0.969
Si 0.378 0.969 0.149
Si 0.458 0.864 0.675
Si 0.675 0.458 0.864
Si 0.864 0.675 0.458
Si 0.969 0.149 0.378
O 0.157 0.496 0.846
O 0.184 0.206 0.517
O 0.204 0.871 0.940
O 0.206 0.517 0.184
O 0.290 0.970 0.298
O 0.298 0.290 0.970
O 0.310 0.643 0.574
O 0.344 0.990 0.661
O 0.496 0.846 0.157
O 0.517 0.184 0.206
O 0.566 0.587 0.899
O 0.574 0.310 0.643
O 0.587 0.899 0.566
O 0.597 0.930 0.891
O 0.643 0.574 0.310
O 0.661 0.344 0.990
O 0.846 0.157 0.496
O 0.871 0.940 0.204
O 0.891 0.597 0.930
O 0.899 0.566 0.587
O 0.930 0.891 0.597
O 0.940 0.204 0.871
O 0.970 0.298 0.290
O 0.990 0.661 0.344

Principal peaks in the range 2θ = 5–70°, low angle first:
- 6.826 Å, intensity 38
- 4.247 Å, intensity 31
- 4.011 Å, intensity 95
- 3.413 Å, intensity 100
- 2.772 Å, intensity 88
- 2.580 Å, intensity 64
- 1.820 Å, intensity 34
- 1.392 Å, intensity 54


2.
TbSc3B4O12: simulated PXRD pattern (CuKα), based on a PBE-relaxed structure.

Crystal structure
Lattice parameters (Å, degrees): 4.853 5.971 7.706 74.70 89.90 89.99
Sites, in units of the cell vectors:
Tb 0.000 0.000 0.000
Sc 0.000 0.000 0.500
Sc 0.500 0.500 0.000
Sc 0.500 0.500 0.500
B 0.003 0.492 0.253
B 0.498 0.996 0.741
B 0.502 0.004 0.259
B 0.997 0.508 0.747
O 0.144 0.353 0.399
O 0.151 0.625 0.108
O 0.213 0.999 0.735
O 0.284 0.497 0.749
O 0.349 0.854 0.392
O 0.375 0.151 0.112
O 0.625 0.849 0.888
O 0.651 0.146 0.608
O 0.716 0.503 0.251
O 0.787 0.001 0.265
O 0.849 0.375 0.892
O 0.856 0.647 0.601

Principal peaks in the range 2θ = 5–70°, low angle first:
- 7.433 Å, intensity 24
- 3.713 Å, intensity 68
- 2.882 Å, intensity 100
- 2.427 Å, intensity 25
- 2.205 Å, intensity 25
- 2.032 Å, intensity 26
- 1.790 Å, intensity 29
- 1.786 Å, intensity 34


3.
Sr2InF7: simulated PXRD pattern (CuKα), based on a PBE-relaxed structure.

Crystal structure
Lattice parameters (Å, degrees): 5.598 12.442 8.412 90.00 90.60 90.00
Sites, in units of the cell vectors:
Sr 0.233 0.221 0.447
Sr 0.233 0.279 0.947
Sr 0.234 0.561 0.323
Sr 0.234 0.939 0.823
Sr 0.766 0.061 0.177
Sr 0.766 0.439 0.677
Sr 0.767 0.721 0.053
Sr 0.767 0.779 0.553
In 0.279 0.626 0.786
In 0.279 0.874 0.286
In 0.721 0.126 0.714
In 0.721 0.374 0.214
F 0.012 0.744 0.305
F 0.012 0.756 0.805
F 0.013 0.605 0.588
F 0.013 0.895 0.088
F 0.194 0.041 0.288
F 0.194 0.459 0.788
F 0.199 0.639 0.032
F 0.199 0.861 0.532
F 0.373 0.074 0.627
F 0.373 0.426 0.127
F 0.491 0.604 0.573
F 0.491 0.896 0.073
F 0.492 0.728 0.294
F 0.492 0.772 0.794
F 0.508 0.228 0.206
F 0.508 0.272 0.706
F 0.509 0.104 0.927
F 0.509 0.396 0.427
F 0.627 0.574 0.873
F 0.627 0.926 0.373
F 0.801 0.139 0.468
F 0.801 0.361 0.968
F 0.806 0.541 0.212
F 0.806 0.959 0.712
F 0.987 0.105 0.912
F 0.987 0.395 0.412
F 0.988 0.244 0.195
F 0.988 0.256 0.695

Principal peaks in the range 2θ = 5–70°, low angle first:
- 3.346 Å, intensity 34
- 3.333 Å, intensity 100
- 3.261 Å, intensity 53
- 2.799 Å, intensity 37
- 2.074 Å, intensity 40
- 2.024 Å, intensity 32
- 2.014 Å, intensity 32
- 1.895 Å, intensity 32


4.
TaAlFe: simulated PXRD pattern (CuKα), based on a PBE-relaxed structure.

Crystal structure
Lattice parameters (Å, degrees): 8.050 4.902 4.902 60.66 90.00 90.00
Sites, in units of the cell vectors:
Ta 0.180 0.000 0.000
Ta 0.303 0.332 0.332
Ta 0.697 0.332 0.332
Ta 0.820 0.000 0.000
Al 0.242 0.673 0.673
Al 0.500 0.320 0.835
Al 0.500 0.835 0.320
Al 0.758 0.673 0.673
Fe 0.000 0.015 0.495
Fe 0.000 0.495 0.015
Fe 0.000 0.496 0.496
Fe 0.500 0.832 0.832

Principal peaks in the range 2θ = 5–70°, low angle first:
- 4.273 Å, intensity 37
- 2.475 Å, intensity 37
- 2.451 Å, intensity 59
- 2.272 Å, intensity 100
- 2.266 Å, intensity 42
- 2.108 Å, intensity 34
- 2.093 Å, intensity 81
- 2.065 Å, intensity 40


5.
Sr2MgCu3O5: simulated PXRD pattern (CuKα), based on a PBE-relaxed structure.

Crystal structure
Lattice parameters (Å, degrees): 3.347 3.765 12.232 90.53 95.79 90.25
Sites, in units of the cell vectors:
Sr 0.000 0.000 0.000
Sr 0.159 0.006 0.349
Mg 0.119 0.511 0.541
Cu 0.458 0.497 0.827
Cu 0.579 0.504 0.168
Cu 0.757 0.008 0.691
O 0.136 0.012 0.589
O 0.490 0.501 0.999
O 0.502 0.997 0.820
O 0.593 0.510 0.433
O 0.604 0.005 0.195

Principal peaks in the range 2θ = 5–70°, low angle first:
- 12.169 Å, intensity 64
- 2.805 Å, intensity 76
- 2.773 Å, intensity 100
- 2.746 Å, intensity 97
- 2.486 Å, intensity 88
- 2.455 Å, intensity 51
- 2.368 Å, intensity 51
- 1.882 Å, intensity 59


6.
CsI: simulated PXRD pattern (CuKα), based on a PBE-relaxed structure.

Crystal structure
Lattice parameters (Å, degrees): 5.557 5.557 5.557 60.00 60.00 60.00
Sites, in units of the cell vectors:
Cs 0.000 0.000 0.000
I 0.500 0.500 0.500

Principal peaks in the range 2θ = 5–70°, low angle first:
- 3.930 Å, intensity 100
- 2.779 Å, intensity 81
- 2.269 Å, intensity 30
- 1.965 Å, intensity 15
- 1.757 Å, intensity 41
- 1.604 Å, intensity 30
- 1.389 Å, intensity 9


7.
Ca2Si: simulated PXRD pattern (CuKα), based on a PBE-relaxed structure.

Crystal structure
Lattice parameters (Å, degrees): 7.615 4.820 9.047 90.00 90.00 90.00
Sites, in units of the cell vectors:
Ca 0.020 0.250 0.178
Ca 0.154 0.250 0.574
Ca 0.346 0.750 0.074
Ca 0.480 0.750 0.678
Ca 0.520 0.250 0.322
Ca 0.654 0.250 0.926
Ca 0.846 0.750 0.426
Ca 0.980 0.750 0.822
Si 0.248 0.750 0.394
Si 0.252 0.250 0.894
Si 0.748 0.750 0.106
Si 0.752 0.250 0.606

Principal peaks in the range 2θ = 5–70°, low angle first:
- 3.027 Å, intensity 90
- 2.988 Å, intensity 37
- 2.837 Å, intensity 100
- 2.804 Å, intensity 26
- 2.557 Å, intensity 57
- 2.444 Å, intensity 26
- 2.410 Å, intensity 52
- 1.594 Å, intensity 24